(1)
The following is a theoretical powder diffractogram of Er5Te4Pb. It was derived from a GGA-PBE-relaxed structure, using CuKα.
Kinematic intensities with the Lorentz-polarization factor, no thermal factor.

Atomic structure:
Cell: 15.7157 15.7157 15.7157 Å, 164.13 164.13 22.52°
Fractional coordinates of all 10 atoms:
Er 0.0000 0.0000 0.0000
Er 0.2039 0.2039 0.0000
Er 0.4027 0.4027 0.0000
Er 0.5973 0.5973 0.0000
Er 0.7961 0.7961 0.0000
Te 0.1028 0.1028 0.0000
Te 0.3023 0.3023 0.0000
Te 0.6977 0.6977 0.0000
Te 0.8972 0.8972 0.0000
Pb 0.5000 0.5000 0.0000

Most intense lines, 2θ = 10–90°, in order of falling intensity:
29.1°, d = 3.068 Å, rel. 100
41.5°, d = 2.175 Å, rel. 75
29.0°, d = 3.083 Å, rel. 50
51.5°, d = 1.774 Å, rel. 40
41.6°, d = 2.170 Å, rel. 38
75.9°, d = 1.254 Å, rel. 26


(2)
The following is a theoretical powder diffractogram of ErTh3Pb12. It was derived from a GGA-PBE-relaxed structure, using CuKα.
Kinematic intensities with the Lorentz-polarization factor, no thermal factor.

Atomic structure:
Cell: 4.9498 4.9498 19.1630 Å, 90.00 90.00 90.00°
Fractional coordinates of all 16 atoms:
Er 0.0000 0.0000 0.0000
Th 0.0000 0.0000 0.2506
Th 0.0000 0.0000 0.5000
Th 0.0000 0.0000 0.7494
Pb 0.0000 0.5000 0.1218
Pb 0.0000 0.5000 0.3743
Pb 0.0000 0.5000 0.6257
Pb 0.0000 0.5000 0.8782
Pb 0.5000 0.0000 0.1218
Pb 0.5000 0.0000 0.3743
Pb 0.5000 0.0000 0.6257
Pb 0.5000 0.0000 0.8782
Pb 0.5000 0.5000 0.0000
Pb 0.5000 0.5000 0.2476
Pb 0.5000 0.5000 0.5000
Pb 0.5000 0.5000 0.7524

Most intense lines, 2θ = 10–90°, in order of falling intensity:
31.7°, d = 2.826 Å, rel. 100
36.3°, d = 2.475 Å, rel. 35
62.4°, d = 1.488 Å, rel. 30
53.2°, d = 1.721 Å, rel. 24
37.5°, d = 2.395 Å, rel. 16
64.1°, d = 1.453 Å, rel. 14


(3)
The following is a theoretical powder diffractogram of Er3TlPb12. It was derived from a GGA-PBE-relaxed structure, using CuKα.
Kinematic intensities with the Lorentz-polarization factor, no thermal factor.

Atomic structure:
Cell: 4.8543 4.8543 20.0507 Å, 90.00 90.00 90.00°
Fractional coordinates of all 16 atoms:
Er 0.0000 0.0000 0.0000
Er 0.0000 0.0000 0.2376
Er 0.0000 0.0000 0.7624
Tl 0.0000 0.0000 0.5000
Pb 0.0000 0.5000 0.1212
Pb 0.0000 0.5000 0.3699
Pb 0.0000 0.5000 0.6301
Pb 0.0000 0.5000 0.8788
Pb 0.5000 0.0000 0.1212
Pb 0.5000 0.0000 0.3699
Pb 0.5000 0.0000 0.6301
Pb 0.5000 0.0000 0.8788
Pb 0.5000 0.5000 0.0000
Pb 0.5000 0.5000 0.2474
Pb 0.5000 0.5000 0.5000
Pb 0.5000 0.5000 0.7526

Most intense lines, 2θ = 10–90°, in order of falling intensity:
31.6°, d = 2.832 Å, rel. 100
37.0°, d = 2.427 Å, rel. 34
63.4°, d = 1.468 Å, rel. 28
52.5°, d = 1.744 Å, rel. 23
35.8°, d = 2.506 Å, rel. 17
61.7°, d = 1.502 Å, rel. 13


(4)
The following is a theoretical powder diffractogram of YErTlPb. It was derived from a GGA-PBE-relaxed structure, using CuKα.
Kinematic intensities with the Lorentz-polarization factor, no thermal factor.

Atomic structure:
Cell: 5.6410 5.6410 5.6410 Å, 127.37 127.37 77.65°
Fractional coordinates of all 4 atoms:
Y 0.0000 0.0000 0.0000
Er 0.5000 0.5000 0.0000
Tl 0.2500 0.7500 0.5000
Pb 0.7500 0.2500 0.5000

Most intense lines, 2θ = 10–90°, in order of falling intensity:
32.5°, d = 2.755 Å, rel. 100
35.9°, d = 2.501 Å, rel. 38
62.4°, d = 1.488 Å, rel. 31
55.7°, d = 1.651 Å, rel. 22
51.7°, d = 1.768 Å, rel. 14
41.1°, d = 2.197 Å, rel. 13


(5)
The following is a theoretical powder diffractogram of Er3Tm4Pb5. It was derived from a GGA-PBE-relaxed structure, using CuKα.
Kinematic intensities with the Lorentz-polarization factor, no thermal factor.

Atomic structure:
Cell: 6.5893 6.5893 11.0985 Å, 99.19 99.19 49.82°
Fractional coordinates of all 12 atoms:
Er 0.0000 0.0000 0.0000
Er 0.3901 0.3901 0.7333
Er 0.6099 0.6099 0.2667
Tm 0.2819 0.2819 0.1035
Tm 0.3701 0.3701 0.4117
Tm 0.6299 0.6299 0.5883
Tm 0.7181 0.7181 0.8965
Pb 0.1056 0.1056 0.4135
Pb 0.1360 0.1360 0.7741
Pb 0.5000 0.5000 0.0000
Pb 0.8640 0.8640 0.2259
Pb 0.8944 0.8944 0.5865

Most intense lines, 2θ = 10–90°, in order of falling intensity:
32.3°, d = 2.775 Å, rel. 100
31.4°, d = 2.848 Å, rel. 99
30.0°, d = 2.975 Å, rel. 66
34.5°, d = 2.601 Å, rel. 65
29.2°, d = 3.059 Å, rel. 61
44.7°, d = 2.029 Å, rel. 45


(6)
The following is a theoretical powder diffractogram of ErTm3Pb. It was derived from a GGA-PBE-relaxed structure, using CuKα.
Kinematic intensities with the Lorentz-polarization factor, no thermal factor.

Atomic structure:
Cell: 6.1613 5.4629 8.9567 Å, 90.00 107.64 90.00°
Fractional coordinates of all 10 atoms:
Er 0.0178 0.2500 0.3870
Er 0.9822 0.7500 0.6130
Tm 0.1605 0.7500 0.0061
Tm 0.2528 0.2500 0.7907
Tm 0.3545 0.7500 0.3979
Tm 0.6455 0.2500 0.6021
Tm 0.7472 0.7500 0.2093
Tm 0.8395 0.2500 0.9939
Pb 0.4290 0.2500 0.1919
Pb 0.5710 0.7500 0.8081

Most intense lines, 2θ = 10–90°, in order of falling intensity:
33.4°, d = 2.681 Å, rel. 100
33.7°, d = 2.657 Å, rel. 96
34.7°, d = 2.584 Å, rel. 70
32.8°, d = 2.731 Å, rel. 65
30.5°, d = 2.933 Å, rel. 31
45.4°, d = 1.999 Å, rel. 21